# 1
This entry pairs a crystal structure of AgI3Br9 with its theoretical X-ray powder pattern. Radiation: Cu Ka. Structure: a cell relaxed with GGA-PBE.
Neutral-atom scattering factors, no anomalous dispersion.

The 10 most intense peaks (15 to 90 degrees two-theta), low angle first:
| 2theta | d (Å) | I (rel.) | (hkl) |
| --- | --- | --- | --- |
| 15.52 | 5.708 | 88 | 3 1 -1 |
| 16.90 | 5.247 | 94 | 0 2 1 |
| 20.55 | 4.322 | 100 | 1 1 2 |
| 21.31 | 4.169 | 32 | 4 0 0 |
| 21.79 | 4.079 | 53 | 0 2 2 |
| 22.73 | 3.912 | 38 | 1 1 -3 |
| 23.10 | 3.850 | 34 | 1 3 0 |
| 31.34 | 2.854 | 44 | 6 0 -4 |
| 33.18 | 2.700 | 32 | 7 1 -2 |
| 37.35 | 2.408 | 55 | 4 2 -5 |

Atomic structure:
Cell: 19.5390 11.8695 13.1603 Å, 90.00 121.41 90.00°
Space group Cc (No. 9)
Unique sites:
Ag 0.0000 0.1759 0.0000 x4
I 0.2102 0.0231 0.7010 x4
I 0.2556 0.4146 0.5058 x4
I 0.4715 0.0980 0.1720 x4
Br 0.0342 0.1184 0.2190 x4
Br 0.1443 0.2575 0.3580 x4
Br 0.1512 0.1801 0.0689 x4
Br 0.1635 0.4844 0.5803 x4
Br 0.2656 0.2084 0.8211 x4
Br 0.3391 0.0275 0.1817 x4
Br 0.3477 0.3683 0.3991 x4
Br 0.4668 0.3001 0.2764 x4
Br 0.4704 0.0719 0.5431 x4

---

# 2
This entry pairs a crystal structure of Ag5IBr8 with its theoretical X-ray powder pattern. Radiation: Cu Ka. Structure: a cell relaxed with GGA-PBE.
Neutral-atom scattering factors, no anomalous dispersion.

The 10 most intense peaks (15 to 90 degrees two-theta), low angle first:
| 2theta | d (Å) | I (rel.) | (hkl) |
| --- | --- | --- | --- |
| 20.96 | 4.239 | 26 | 2 2 0 |
| 24.63 | 3.615 | 73 | 3 1 1 |
| 29.81 | 2.997 | 58 | 4 0 0 |
| 39.04 | 2.307 | 52 | 5 1 1 |
| 42.66 | 2.119 | 100 | 4 4 0 |
| 59.19 | 1.561 | 16 | 5 5 3 |
| 61.91 | 1.499 | 14 | 8 0 0 |
| 70.21 | 1.340 | 13 | 8 4 0 |
| 78.10 | 1.224 | 27 | 8 4 4 |
| 83.38 | 1.159 | 16 | 9 5 1 |

Atomic structure:
Cell: 11.9897 11.9897 11.9897 Å, 90.00 90.00 90.00°
Space group F-43m (No. 216)
Unique sites:
Ag 0.0000 0.0000 0.0000 x4
Ag 0.1269 0.1269 0.3731 x16
I 0.2500 0.2500 0.7500 x4
Br 0.1087 0.1087 0.6087 x16
Br 0.1331 0.1331 0.1331 x16